For PrMnO3, a cell relaxed with GGA+U gives the simulated X-ray diffraction stick pattern in this record (Cu Kα (weighted mean of Kα1 and Kα2)).

Cell and atoms:
```
20
Lattice="5.9096 0.0000 0.0000 0.0000 7.7170 0.0000 0.0000 0.0000 5.5218" Properties=species:S:1:pos:R:3 pbc="T T T"
Pr 0.4037 1.9292 0.0814
Pr 2.5511 5.7877 2.8423
Pr 3.3585 1.9292 2.6795
Pr 5.5059 5.7877 5.4404
Mn 0.0000 0.0000 2.7609
Mn 0.0000 3.8585 2.7609
Mn 2.9548 0.0000 0.0000
Mn 2.9548 3.8585 0.0000
O 0.1438 5.7877 2.2504
O 1.1029 4.2189 4.3319
O 1.1029 7.3565 4.3319
O 1.8519 0.3605 1.5710
O 1.8519 3.4980 1.5710
O 2.8110 1.9292 5.0113
O 3.0986 5.7877 0.5104
O 4.0577 4.2189 3.9508
O 4.0577 7.3565 3.9508
O 4.8067 0.3605 1.1899
O 4.8067 3.4980 1.1899
O 5.7658 1.9292 3.2713
```

Main lines, by angle (2θ = 10–90°):
2θ 22.0, I 16
2θ 24.9, I 24
2θ 30.2, I 21
2θ 32.1, I 100
2θ 32.4, I 41
2θ 44.9, I 20
2θ 46.5, I 15
2θ 47.1, I 15
2θ 50.6, I 20
2θ 57.6, I 23


For Pr2MnRhO6, a cell relaxed with GGA+U gives the simulated X-ray diffraction stick pattern in this record (Cu Kα (weighted mean of Kα1 and Kα2)).

Cell and atoms:
```
20
Lattice="5.5890 0.0000 0.0000 0.0000 5.8969 0.0000 -5.3740 0.0000 7.6877" Properties=species:S:1:pos:R:3 pbc="T T T"
Pr -0.0576 0.3942 1.9135
Pr -2.7446 2.5542 5.7573
Pr 2.9597 3.3427 1.9303
Pr 0.2727 5.5026 5.7742
Mn 2.7945 0.0000 0.0000
Mn 0.1075 2.9484 3.8438
Rh -2.6870 0.0000 3.8438
Rh 0.0000 2.9484 0.0000
O -4.2958 1.1865 7.3158
O -1.6088 1.7619 3.4720
O -3.6933 4.1453 7.3006
O -1.0063 4.7000 3.4568
O -2.0629 0.1925 5.8030
O 0.6241 2.7559 1.9592
O -0.4091 3.1409 5.7285
O 2.2779 5.7044 1.8846
O 1.2213 1.1969 4.2309
O 3.9083 1.7516 0.3870
O 1.8238 4.1349 4.2156
O 4.5108 4.7104 0.3718
```

Main lines, by angle (2θ = 10–90°):
2θ 30.3, I 40
2θ 31.7, I 100
2θ 32.0, I 50
2θ 32.4, I 94
2θ 32.5, I 21
2θ 44.7, I 39
2θ 47.3, I 26
2θ 56.5, I 23
2θ 57.2, I 16
2θ 57.8, I 21


For Pr2Mn3Sb3O14, a cell relaxed with GGA+U gives the simulated X-ray diffraction stick pattern in this record (Cu Kα (weighted mean of Kα1 and Kα2)).

Cell and atoms:
```
22
Lattice="6.2707 -3.7262 0.0000 6.2707 3.7262 0.0000 -4.1801 0.0000 6.0982" Properties=species:S:1:pos:R:3 pbc="T T T"
Pr 3.1353 1.8631 0.0000
Pr 3.1353 -1.8631 0.0000
Mn 0.0000 0.0000 0.0000
Mn -2.0900 0.0000 3.0491
Mn 4.1806 0.0000 3.0491
Sb 1.0453 1.8631 3.0491
Sb 1.0453 -1.8631 3.0491
Sb 6.2707 0.0000 0.0000
O -2.2564 0.0000 5.2365
O 1.2753 1.5097 5.0191
O 0.3928 0.0000 2.6225
O 2.9355 1.4788 2.5570
O 4.5435 0.0000 0.9202
O 7.0860 1.5097 1.0791
O 5.4258 1.4788 3.5412
O 2.9355 -1.4788 2.5570
O 1.2753 -1.5097 5.0191
O 3.8178 0.0000 5.1780
O 5.4258 -1.4788 3.5412
O 7.9685 0.0000 3.4757
O 7.0860 -1.5097 1.0791
O 10.6176 0.0000 0.8616
```

Main lines, by angle (2θ = 10–90°):
2θ 29.3, I 51
2θ 29.5, I 100
2θ 30.1, I 46
2θ 34.2, I 40
2θ 34.7, I 19
2θ 48.9, I 48
2θ 49.3, I 15
2θ 50.0, I 30
2θ 58.0, I 28
2θ 59.0, I 26


For SrPrMn2O6, a cell relaxed with GGA+U gives the simulated X-ray diffraction stick pattern in this record (Cu Kα (weighted mean of Kα1 and Kα2)).

Cell and atoms:
```
20
Lattice="7.7715 0.0000 0.0000 0.0000 5.5345 0.0000 0.0000 0.0000 5.5653" Properties=species:S:1:pos:R:3 pbc="T T T"
Sr 0.0000 1.3064 0.0000
Sr 3.8857 4.2281 2.7827
Pr 0.0000 3.9927 2.8410
Pr 3.8857 1.5418 0.0584
Mn 1.9450 1.3680 2.7911
Mn 1.9407 4.1665 0.0085
Mn 5.8265 1.3680 2.7911
Mn 5.8307 4.1665 0.0085
O 0.0000 1.4581 2.4994
O 0.0000 4.1704 0.4108
O 1.6697 5.3814 4.0262
O 1.7002 2.6896 4.2554
O 2.1856 2.8449 1.4728
O 2.2160 0.1530 1.2436
O 3.8857 1.3641 3.1935
O 3.8857 4.0764 5.2820
O 5.5554 0.1530 1.2436
O 5.5859 2.8449 1.4728
O 6.0713 2.6896 4.2554
O 6.1018 5.3814 4.0262
```

Main lines, by angle (2θ = 10–90°):
2θ 19.7, I 9
2θ 32.2, I 20
2θ 32.4, I 100
2θ 39.8, I 9
2θ 40.0, I 9
2θ 46.3, I 26
2θ 46.8, I 13
2θ 57.5, I 17
2θ 57.7, I 14
2θ 67.9, I 14


For Sr2PrMn3O9, a cell relaxed with GGA+U gives the simulated X-ray diffraction stick pattern in this record (Cu Kα (weighted mean of Kα1 and Kα2)).

Cell and atoms:
```
30
Lattice="4.8198 -2.7300 0.0000 4.8198 2.7300 0.0000 -0.3357 0.0000 13.5002" Properties=species:S:1:pos:R:3 pbc="T T T"
Sr 1.4691 0.0093 5.6323
Sr 1.3012 -0.0093 12.3824
Sr 8.0027 0.0093 1.1178
Sr 7.8348 -0.0093 7.8679
Pr 4.7359 0.0254 3.3751
Pr 4.5680 -0.0254 10.1252
Mn 1.5538 0.0011 2.2415
Mn 1.3859 -0.0011 8.9917
Mn 4.8198 0.0000 0.0000
Mn 4.6520 0.0000 6.7501
Mn 7.9180 0.0011 4.5086
Mn 7.7501 -0.0011 11.2587
O 4.5680 2.6915 10.1252
O 2.5165 1.1301 3.5314
O 3.9968 1.5587 5.7718
O 3.6107 1.1278 12.1448
O 5.4749 1.5587 0.9783
O 3.0469 0.0020 7.9449
O 3.2147 -0.0020 1.1948
O 5.5254 1.1278 8.1056
O 2.3486 -1.1301 10.2815
O 6.9553 1.1301 3.2188
O 3.7785 -1.1278 5.3947
O 6.0892 0.0020 12.3055
O 6.2570 -0.0020 5.5553
O 3.8290 -1.5587 12.5219
O 5.6932 -1.1278 1.3555
O 5.3071 -1.5587 7.7285
O 6.7874 -1.1301 9.9689
O 4.7359 -2.6915 3.3751
```

Main lines, by angle (2θ = 10–90°):
2θ 23.0, I 7
2θ 32.3, I 100
2θ 32.8, I 53
2θ 40.1, I 24
2θ 45.7, I 20
2θ 47.1, I 33
2θ 57.4, I 21
2θ 58.3, I 40
2θ 67.7, I 20
2θ 76.0, I 8


For SrPrYMnO6, a cell relaxed with GGA+U gives the simulated X-ray diffraction stick pattern in this record (Cu Kα (weighted mean of Kα1 and Kα2)).

Cell and atoms:
```
10
Lattice="0.0000 4.0710 4.0710 4.0710 0.0000 4.0710 4.0710 4.0710 0.0000" Properties=species:S:1:pos:R:3 pbc="T T T"
Sr 0.0000 0.0000 0.0000
Pr 4.0710 4.0710 4.0710
Y 6.1065 6.1065 6.1065
Mn 2.0355 2.0355 2.0355
O 2.0355 2.0355 0.1360
O 2.0355 0.1360 2.0355
O 3.9350 2.0355 2.0355
O 0.1360 2.0355 2.0355
O 2.0355 3.9350 2.0355
O 2.0355 2.0355 3.9350
```

Main lines, by angle (2θ = 10–90°):
2θ 18.9, I 6
2θ 31.1, I 100
2θ 36.6, I 5
2θ 38.3, I 10
2θ 44.5, I 34
2θ 55.3, I 39
2θ 64.8, I 20
2θ 73.6, I 17
2θ 77.8, I 3
2θ 82.0, I 6


For PrMn2ZnO6, a cell relaxed with GGA+U gives the simulated X-ray diffraction stick pattern in this record (Cu Kα (weighted mean of Kα1 and Kα2)).

Cell and atoms:
```
20
Lattice="7.7296 0.0000 0.0000 0.0000 5.4394 0.0000 0.0000 0.0000 5.2984" Properties=species:S:1:pos:R:3 pbc="T T T"
Pr 0.0000 1.1484 0.0000
Pr 3.8648 4.2910 2.6492
Mn 1.9354 1.3845 2.5920
Mn 1.9294 4.0549 5.2412
Mn 5.7942 1.3845 2.5920
Mn 5.8002 4.0549 5.2412
Zn 0.0000 3.8722 2.5135
Zn 3.8648 1.5672 5.1627
O 0.0000 1.5941 2.9968
O 0.0000 4.1878 4.5714
O 1.4862 5.1520 1.5615
O 1.5272 2.5722 1.1186
O 2.3376 2.8672 3.7678
O 2.3786 0.2874 4.2106
O 3.8648 1.2516 1.9222
O 3.8648 3.8453 0.3476
O 5.3510 0.2874 4.2106
O 5.3920 2.8672 3.7678
O 6.2024 2.5722 1.1186
O 6.2434 5.1520 1.5615
```

Main lines, by angle (2θ = 10–90°):
2θ 32.9, I 23
2θ 33.1, I 100
2θ 33.8, I 21
2θ 47.0, I 15
2θ 47.9, I 25
2θ 58.6, I 11
2θ 58.9, I 15
2θ 59.2, I 11
2θ 60.1, I 22
2θ 69.4, I 12


For RbMnO3, a cell relaxed with GGA+U gives the simulated X-ray diffraction stick pattern in this record (Cu Kα (weighted mean of Kα1 and Kα2)).

Cell and atoms:
```
5
Lattice="4.0393 0.0000 0.0000 0.0000 4.0393 0.0000 0.0000 0.0000 4.0393" Properties=species:S:1:pos:R:3 pbc="T T T"
Rb 0.0000 0.0000 0.0000
Mn 2.0196 2.0196 2.0196
O 0.0000 2.0196 2.0196
O 2.0196 0.0000 2.0196
O 2.0196 2.0196 0.0000
```

Main lines, by angle (2θ = 10–90°):
2θ 22.0, I 1
2θ 31.3, I 100
2θ 38.6, I 15
2θ 44.9, I 40
2θ 50.5, I 1
2θ 55.7, I 38
2θ 65.3, I 23
2θ 74.2, I 16
2θ 78.5, I 4
2θ 82.8, I 8


For RbMn4O8, a cell relaxed with GGA+U gives the simulated X-ray diffraction stick pattern in this record (Cu Kα (weighted mean of Kα1 and Kα2)).

Cell and atoms:
```
13
Lattice="7.0347 -1.5025 0.0000 7.0347 1.5025 0.0000 -6.9540 0.0000 7.1438" Properties=species:S:1:pos:R:3 pbc="T T T"
Rb 0.0000 0.0000 0.0000
Mn -1.2515 0.0000 3.4532
Mn 3.4620 0.0000 1.3181
Mn 3.6535 0.0000 5.8257
Mn 8.3670 0.0000 3.6906
O -4.4058 0.0000 5.1321
O -2.4519 0.0000 6.7339
O 0.3476 0.0000 4.5767
O 2.1476 0.0000 2.7436
O 4.9679 0.0000 4.4001
O 6.7679 0.0000 2.5670
O 9.5675 0.0000 0.4099
O 11.5213 0.0000 2.0116
```

Main lines, by angle (2θ = 10–90°):
2θ 27.9, I 29
2θ 28.1, I 100
2θ 28.4, I 28
2θ 35.9, I 38
2θ 36.0, I 48
2θ 40.3, I 36
2θ 40.5, I 27
2θ 48.4, I 23
2θ 58.3, I 21
2θ 58.4, I 23


For RbMnO2, a cell relaxed with GGA+U gives the simulated X-ray diffraction stick pattern in this record (Cu Kα (weighted mean of Kα1 and Kα2)).

Cell and atoms:
```
24
Lattice="6.6354 0.0000 0.0000 1.5510 7.7449 0.0000 0.2447 1.8722 8.4349" Properties=species:S:1:pos:R:3 pbc="T T T"
Rb 0.0000 0.0000 0.0000
Rb 0.2634 0.9218 3.4937
Rb 2.2500 6.6148 6.4599
Rb 2.2597 5.1028 2.5250
Rb 2.6923 3.0552 5.4873
Rb 2.7153 2.0989 0.5573
Mn 5.0768 6.3384 0.6931
Mn 5.1777 7.0021 3.5049
Mn 5.3362 7.6346 6.3086
Mn 5.8068 4.0960 2.6770
Mn 5.9667 4.7215 5.4825
Mn 6.0700 5.3650 8.2905
O 3.9971 7.3350 1.9742
O 4.1847 8.0187 4.8071
O 4.2890 8.6897 7.5589
O 4.6270 4.8355 4.0407
O 4.5519 4.2036 1.1813
O 4.7523 5.3940 6.8480
O 6.3940 6.3225 2.1386
O 6.5915 7.5066 7.8037
O 6.5153 6.8917 4.9481
O 6.8581 3.0314 1.4278
O 6.9540 3.7036 4.1787
O 7.1506 4.3774 7.0088
```

Main lines, by angle (2θ = 10–90°):
2θ 11.7, I 26
2θ 16.1, I 23
2θ 26.3, I 37
2θ 26.8, I 31
2θ 27.7, I 100
2θ 28.1, I 28
2θ 29.3, I 38
2θ 29.6, I 67
2θ 35.1, I 24
2θ 35.6, I 85


For Rb2Mn3O4, a cell relaxed with GGA+U gives the simulated X-ray diffraction stick pattern in this record (Cu Kα (weighted mean of Kα1 and Kα2)).

Cell and atoms:
```
18
Lattice="7.9849 -3.4071 0.0000 7.9849 3.4071 0.0000 -1.2921 0.0000 5.9355" Properties=species:S:1:pos:R:3 pbc="T T T"
Rb 5.4483 2.5295 2.9795
Rb 8.5834 2.5295 5.9237
Rb 6.0944 -2.5295 0.0118
Rb 9.2294 -2.5295 2.9560
Mn 3.7212 0.7872 5.4008
Mn 4.3672 -0.7872 2.4331
Mn 7.6619 0.1195 1.4839
Mn 7.0159 -0.1195 4.4516
Mn 10.3105 0.7872 3.5024
Mn 10.9566 -0.7872 0.5346
O 3.8857 0.8332 1.2473
O 5.7594 1.1091 5.6681
O 3.2396 -0.8332 4.2150
O 8.2723 1.1091 3.2351
O 6.4055 -1.1091 2.7004
O 11.4381 0.8332 1.7204
O 8.9183 -1.1091 0.2673
O 10.7921 -0.8332 4.6882
```

Main lines, by angle (2θ = 10–90°):
2θ 28.3, I 35
2θ 30.1, I 19
2θ 31.2, I 100
2θ 31.5, I 74
2θ 33.5, I 60
2θ 33.8, I 57
2θ 34.5, I 39
2θ 42.3, I 21
2θ 52.6, I 18
2θ 57.2, I 19